The following is a calculated powder X-ray diffraction pattern of CaMnInO4. It was derived from a crystal structure in Alexandria, relaxed with GGA+U, using λ = 1.5418 Å (Cu Kα).
Intensities are scaled so that the largest is 100.

Top 8 peaks for 2θ from 10° to 90°, in order of rising 2θ:
| 2θ (°) | d_spacing | I_rel | h k l |
| --- | --- | --- | --- |
| 14.83 | 5.975 | 100 | 0 0 1 |
| 21.17 | 4.196 | 31 | 0 1 1 |
| 21.76 | 4.083 | 54 | 1 1 0 |
| 30.33 | 2.947 | 65 | 0 2 0 |
| 34.57 | 2.594 | 35 | 2 1 -1 |
| 35.16 | 2.552 | 41 | 2 1 0 |
| 40.30 | 2.238 | 46 | 2 1 -2 |
| 40.86 | 2.209 | 40 | 1 1 2 |

Cell and atoms:
```
data_CaMnInO4
_cell_length_a 5.897
_cell_length_b 5.894
_cell_length_c 6.222
_cell_angle_alpha 90.00
_cell_angle_beta 106.19
_cell_angle_gamma 90.00
_space_group_name_H-M_alt 'P 1 21/m 1'
_space_group_IT_number 11
loop_
_space_group_symop_operation_xyz
'x,y,z'
'-x,-y,-z'
'-x,y+1/2,-z'
'x,-y+1/2,z'
loop_
_atom_site_label
_atom_site_fract_x
_atom_site_fract_y
_atom_site_fract_z
Ca1 0.223 0.250 0.044
Mn1 0.318 0.750 0.336
In1 0.150 0.250 0.528
O1 0.042 0.522 0.277
O2 0.459 0.250 0.821
O3 0.466 0.250 0.391
```